(1)
Simulated X-ray powder pattern
Compound: Nd2UN3
Radiation: Cu Kα (λ = 1.5418 Å)
Structure: a structure optimized by DFT (PBE)
Peak positions follow from Bragg's law for the DFT cell and can differ from measured ones.

Crystal structure
Cell lengths 7.139, 10.089, 21.220 Å; angles 90.00, 90.00, 90.00 degrees
Space group Fddd (No. 70, origin choice 2)
Inequivalent atoms, fractional coordinates:
1 Nd 0.125 0.125 0.043
2 Nd 0.125 0.125 0.373
3 U 0.125 0.125 0.541
4 N 0.084 0.375 0.875
5 N 0.105 0.356 0.715

Principal peaks in the range 5° ≤ 2θ ≤ 70°, sorted by position:
- hkl 2 2 0, 2θ 30.68, d = 2.914 Å, I = 100
- hkl 0 2 6, 2θ 30.88, d = 2.896 Å, I = 97
- hkl 0 4 0, 2θ 35.60, d = 2.522 Å, I = 46
- hkl 2 0 6, 2θ 35.74, d = 2.512 Å, I = 90
- hkl 4 0 0, 2θ 51.18, d = 1.785 Å, I = 16
- hkl 2 4 6, 2θ 51.33, d = 1.780 Å, I = 63
- hkl 0 0 12, 2θ 51.70, d = 1.768 Å, I = 17
- hkl 4 2 6, 2θ 60.96, d = 1.520 Å, I = 47
- hkl 0 6 6, 2θ 61.02, d = 1.519 Å, I = 15
- hkl 2 2 12, 2θ 61.32, d = 1.512 Å, I = 30
- hkl 4 4 0, 2θ 63.90, d = 1.457 Å, I = 16
- hkl 0 4 12, 2θ 64.34, d = 1.448 Å, I = 16



(2)
Simulated X-ray powder pattern
Compound: AcLuAu
Radiation: Cu Kα (λ = 1.5418 Å)
Structure: a structure optimized by DFT (PBE)
Peak positions follow from Bragg's law for the DFT cell and can differ from measured ones.

Crystal structure
Cell lengths 3.714, 3.714, 13.045 Å; angles 90.00, 90.00, 90.00 degrees
Space group I4mm (No. 107)
Inequivalent atoms, fractional coordinates:
1 Ac 0.000 0.000 0.000
2 Lu 0.000 0.000 0.280
3 Au 0.000 0.000 0.681

Principal peaks in the range 5° ≤ 2θ ≤ 70°, sorted by position:
- hkl 0 0 2, 2θ 13.58, d = 6.522 Å, I = 8
- hkl 1 0 1, 2θ 24.93, d = 3.572 Å, I = 7
- hkl 0 0 4, 2θ 27.35, d = 3.261 Å, I = 14
- hkl 1 0 3, 2θ 31.68, d = 2.824 Å, I = 100
- hkl 1 1 0, 2θ 34.14, d = 2.626 Å, I = 55
- hkl 1 0 5, 2θ 42.34, d = 2.135 Å, I = 9
- hkl 1 1 4, 2θ 44.28, d = 2.046 Å, I = 16
- hkl 2 0 0, 2θ 49.05, d = 1.857 Å, I = 20
- hkl 1 1 6, 2θ 54.82, d = 1.675 Å, I = 9
- hkl 1 0 7, 2θ 55.14, d = 1.666 Å, I = 18
- hkl 2 0 4, 2θ 57.07, d = 1.614 Å, I = 8
- hkl 2 1 3, 2θ 59.58, d = 1.552 Å, I = 34



(3)
Simulated X-ray powder pattern
Compound: Cd2GaRu2
Radiation: Cu Kα (λ = 1.5418 Å)
Structure: a structure optimized by DFT (PBE)
Peak positions follow from Bragg's law for the DFT cell and can differ from measured ones.

Crystal structure
Cell lengths 6.367, 6.367, 4.413 Å; angles 90.00, 90.00, 90.00 degrees
Space group P4/mbm (No. 127)
Inequivalent atoms, fractional coordinates:
1 Cd 0.169 0.331 0.000
2 Ga 0.000 0.000 0.500
3 Ru 0.135 0.635 0.500

Principal peaks in the range 5° ≤ 2θ ≤ 70°, sorted by position:
- hkl 1 1 0, 2θ 19.72, d = 4.502 Å, I = 6
- hkl 2 0 0, 2θ 28.03, d = 3.183 Å, I = 3
- hkl 2 0 1, 2θ 34.75, d = 2.582 Å, I = 17
- hkl 2 1 1, 2θ 37.59, d = 2.393 Å, I = 100
- hkl 2 2 0, 2θ 40.06, d = 2.251 Å, I = 4
- hkl 0 0 2, 2θ 40.90, d = 2.207 Å, I = 24
- hkl 3 1 0, 2θ 45.03, d = 2.013 Å, I = 25
- hkl 3 2 1, 2θ 56.10, d = 1.639 Å, I = 3
- hkl 4 0 0, 2θ 57.94, d = 1.592 Å, I = 3
- hkl 3 3 0, 2θ 61.82, d = 1.501 Å, I = 5
- hkl 3 1 2, 2θ 62.44, d = 1.487 Å, I = 18
- hkl 4 1 1, 2θ 63.86, d = 1.458 Å, I = 9



(4)
Simulated X-ray powder pattern
Compound: Tm2ThNi2
Radiation: Cu Kα (λ = 1.5418 Å)
Structure: a structure optimized by DFT (PBE)
Peak positions follow from Bragg's law for the DFT cell and can differ from measured ones.

Crystal structure
Cell lengths 11.022, 5.866, 7.094 Å; angles 90.00, 100.00, 90.00 degrees
Space group C2/c (No. 15)
Inequivalent atoms, fractional coordinates:
1 Tm 0.159 0.108 0.155
2 Th 0.000 0.400 0.750
3 Ni 0.162 0.375 0.515

Principal peaks in the range 5° ≤ 2θ ≤ 70°, sorted by position:
- hkl 3 1 0, 2θ 28.99, d = 3.080 Å, I = 68
- hkl 1 1 -2, 2θ 29.67, d = 3.010 Å, I = 39
- hkl 3 1 -1, 2θ 29.93, d = 2.985 Å, I = 49
- hkl 2 0 2, 2θ 32.81, d = 2.730 Å, I = 59
- hkl 0 2 1, 2θ 33.12, d = 2.705 Å, I = 100
- hkl 3 1 1, 2θ 33.49, d = 2.676 Å, I = 32
- hkl 3 1 -2, 2θ 35.91, d = 2.501 Å, I = 52
- hkl 2 2 1, 2θ 38.16, d = 2.358 Å, I = 39
- hkl 4 0 -2, 2θ 38.31, d = 2.350 Å, I = 31
- hkl 1 1 -3, 2θ 41.19, d = 2.192 Å, I = 34
- hkl 6 0 0, 2θ 50.44, d = 1.809 Å, I = 28
- hkl 1 1 -4, 2θ 54.02, d = 1.698 Å, I = 26



(5)
Simulated X-ray powder pattern
Compound: Fe2Co5
Radiation: Cu Kα (λ = 1.5418 Å)
Structure: a structure optimized by DFT (PBE)
Peak positions follow from Bragg's law for the DFT cell and can differ from measured ones.

Crystal structure
Cell lengths 3.9920, 3.9920, 17.1436 Å; angles 90.00, 90.00, 120.00 degrees
Space group R-3m (No. 166, hexagonal axes)
Inequivalent atoms, fractional coordinates:
1 Fe 0.0000 0.0000 0.0719
2 Co 0.0000 0.0000 0.2146
3 Co 0.0000 0.0000 0.3588
4 Co 0.0000 0.0000 0.5000

Principal peaks in the range 5° ≤ 2θ ≤ 70°, sorted by position:
- hkl 1 1 0, 2θ 45.41, d = 1.997 Å, I = 100
- hkl 0 2 7, 2θ 66.17, d = 1.412 Å, I = 15



(6)
Simulated X-ray powder pattern
Compound: CsK5Cd2
Radiation: Cu Kα (λ = 1.5418 Å)
Structure: a structure optimized by DFT (PBE)
Peak positions follow from Bragg's law for the DFT cell and can differ from measured ones.

Crystal structure
Cell lengths 15.193, 11.485, 5.901 Å; angles 90.00, 112.80, 90.00 degrees
Space group C2/m (No. 12)
Inequivalent atoms, fractional coordinates:
1 Cs 0.000 0.000 0.000
2 K 0.000 0.500 0.000
3 K 0.165 0.313 0.664
4 Cd 0.236 0.000 0.737

Principal peaks in the range 5° ≤ 2θ ≤ 70°, sorted by position:
- hkl 0 2 0, 2θ 15.43, d = 5.743 Å, I = 52
- hkl 1 1 1, 2θ 21.15, d = 4.200 Å, I = 100
- hkl 0 2 1, 2θ 22.52, d = 3.948 Å, I = 49
- hkl 4 0 -1, 2θ 24.31, d = 3.661 Å, I = 72
- hkl 1 3 -1, 2θ 27.78, d = 3.212 Å, I = 28
- hkl 4 2 0, 2θ 29.89, d = 2.990 Å, I = 54
- hkl 2 0 -2, 2θ 30.30, d = 2.950 Å, I = 41
- hkl 1 3 1, 2θ 30.63, d = 2.918 Å, I = 88
- hkl 2 0 2, 2θ 39.90, d = 2.259 Å, I = 25
- hkl 5 1 1, 2θ 42.38, d = 2.133 Å, I = 24
- hkl 2 2 2, 2θ 43.08, d = 2.100 Å, I = 38
- hkl 1 3 -3, 2θ 54.04, d = 1.697 Å, I = 28



Repeat the fifth record exactly.
Simulated X-ray powder pattern
Compound: Fe2Co5
Radiation: Cu Kα (λ = 1.5418 Å)
Structure: a structure optimized by DFT (PBE)
Peak positions follow from Bragg's law for the DFT cell and can differ from measured ones.

Crystal structure
Cell lengths 3.9920, 3.9920, 17.1436 Å; angles 90.00, 90.00, 120.00 degrees
Space group R-3m (No. 166, hexagonal axes)
Inequivalent atoms, fractional coordinates:
1 Fe 0.0000 0.0000 0.0719
2 Co 0.0000 0.0000 0.2146
3 Co 0.0000 0.0000 0.3588
4 Co 0.0000 0.0000 0.5000

Principal peaks in the range 5° ≤ 2θ ≤ 70°, sorted by position:
- hkl 1 1 0, 2θ 45.41, d = 1.997 Å, I = 100
- hkl 0 2 7, 2θ 66.17, d = 1.412 Å, I = 15



> Which formula does entry 1 have?

Nd2UN3



Copy entry 5 word for word.
Simulated X-ray powder pattern
Compound: Fe2Co5
Radiation: Cu Kα (λ = 1.5418 Å)
Structure: a structure optimized by DFT (PBE)
Peak positions follow from Bragg's law for the DFT cell and can differ from measured ones.

Crystal structure
Cell lengths 3.9920, 3.9920, 17.1436 Å; angles 90.00, 90.00, 120.00 degrees
Space group R-3m (No. 166, hexagonal axes)
Inequivalent atoms, fractional coordinates:
1 Fe 0.0000 0.0000 0.0719
2 Co 0.0000 0.0000 0.2146
3 Co 0.0000 0.0000 0.3588
4 Co 0.0000 0.0000 0.5000

Principal peaks in the range 5° ≤ 2θ ≤ 70°, sorted by position:
- hkl 1 1 0, 2θ 45.41, d = 1.997 Å, I = 100
- hkl 0 2 7, 2θ 66.17, d = 1.412 Å, I = 15